Starting from a DFT-relaxed cell (PBE, Alexandria), the PXRD pattern of LiCoBr2 was calculated for Cu Ka.
Intensities are scaled so that the largest is 1000.

Cell and atoms:
```
data_LiCoBr2
_cell_length_a 14.4126
_cell_length_b 3.6299
_cell_length_c 3.6308
_cell_angle_alpha 90.00
_cell_angle_beta 90.89
_cell_angle_gamma 90.00
_space_group_name_H-M_alt 'C 1 m 1'
_space_group_IT_number 8
loop_
_space_group_symop_operation_xyz
'x,y,z'
'x,-y,z'
'x+1/2,y+1/2,z'
'x+1/2,-y+1/2,z'
loop_
_atom_site_label
_atom_site_fract_x
_atom_site_fract_y
_atom_site_fract_z
_atom_site_occupancy
Li1 0.0000 0.0000 0.0000 1
Co1 0.3643 0.0000 0.4507 1
Br1 0.0384 0.5000 0.5018 1
Br2 0.3189 0.5000 0.9779 1
```

Peak list (10 most intense, 5° ≤ 2θ ≤ 70°, by intensity)
Position (°2θ), d/Å, I/Imax, h k l
12.3, 7.205, 1000, 2 0 0
35.5, 2.532, 778, 1 1 -1
24.7, 3.603, 696, 4 0 0
35.6, 2.522, 590, 1 1 1
25.3, 3.520, 417, 1 1 0
50.3, 1.815, 357, 0 2 0
27.3, 3.262, 332, 2 0 -1
47.7, 1.907, 325, 5 1 1
40.0, 2.256, 305, 5 1 0
47.2, 1.927, 284, 5 1 -1

Starting from a DFT-relaxed cell (PBE, Alexandria), the PXRD pattern of Pt2RhSe6 was calculated for Cu Ka.
Intensities are scaled so that the largest is 1000.

Cell and atoms:
```
data_Pt2RhSe6
_cell_length_a 11.2363
_cell_length_b 3.8145
_cell_length_c 11.1314
_cell_angle_alpha 90.00
_cell_angle_beta 119.34
_cell_angle_gamma 90.00
_space_group_name_H-M_alt 'C 1 2/m 1'
_space_group_IT_number 12
loop_
_space_group_symop_operation_xyz
'x,y,z'
'-x,-y,-z'
'-x,y,-z'
'x,-y,z'
'x+1/2,y+1/2,z'
'-x+1/2,-y+1/2,-z'
'-x+1/2,y+1/2,-z'
'x+1/2,-y+1/2,z'
loop_
_atom_site_label
_atom_site_fract_x
_atom_site_fract_y
_atom_site_fract_z
_atom_site_occupancy
Pt1 0.1649 0.0000 0.3327 1
Rh1 0.0000 0.5000 0.0000 1
Se1 0.0041 0.5000 0.7776 1
Se2 0.1647 0.0000 0.1066 1
Se3 0.1664 0.0000 0.5612 1
```

Peak list (10 most intense, 5° ≤ 2θ ≤ 70°, by intensity)
Position (°2θ), d/Å, I/Imax, h k l
15.8, 5.617, 1000, 2 0 -1
36.2, 2.480, 781, 3 1 0
28.2, 3.161, 513, 1 1 1
49.3, 1.847, 507, 5 1 -4
32.2, 2.783, 449, 2 0 -4
49.1, 1.856, 270, 1 1 4
47.7, 1.907, 179, 0 2 0
43.0, 2.103, 171, 4 0 -5
58.7, 1.573, 160, 2 2 -4
66.2, 1.413, 149, 4 0 4

Starting from a DFT-relaxed cell (PBE, Alexandria), the PXRD pattern of BaSnHg14 was calculated for Cu Ka.
Intensities are scaled so that the largest is 1000.

Cell and atoms:
```
data_BaSnHg14
_cell_length_a 12.6816
_cell_length_b 14.2259
_cell_length_c 11.4287
_cell_angle_alpha 90.00
_cell_angle_beta 118.32
_cell_angle_gamma 90.00
_space_group_name_H-M_alt 'C 1 2/c 1'
_space_group_IT_number 15
loop_
_space_group_symop_operation_xyz
'x,y,z'
'-x,-y,-z'
'-x,y,-z+1/2'
'x,-y,z+1/2'
'x+1/2,y+1/2,z'
'-x+1/2,-y+1/2,-z'
'-x+1/2,y+1/2,-z+1/2'
'x+1/2,-y+1/2,z+1/2'
loop_
_atom_site_label
_atom_site_fract_x
_atom_site_fract_y
_atom_site_fract_z
_atom_site_occupancy
Ba1 0.0000 0.1554 0.2500 1
Sn1 0.2500 0.2500 0.0000 1
Hg1 0.0191 0.2243 0.5835 1
Hg2 0.0612 0.4490 0.9058 1
Hg3 0.1160 0.3688 0.1832 1
Hg4 0.1335 0.0345 0.5702 1
Hg5 0.1454 0.0693 0.8416 1
Hg6 0.1824 0.3473 0.4806 1
Hg7 0.2171 0.3675 0.7615 1
```

Peak list (10 most intense, 5° ≤ 2θ ≤ 70°, by intensity)
Position (°2θ), d/Å, I/Imax, h k l
30.5, 2.929, 1000, 3 3 0
31.5, 2.837, 993, 4 2 -1
32.8, 2.733, 826, 3 1 -4
32.7, 2.742, 534, 1 5 -1
31.9, 2.804, 500, 1 1 3
39.8, 2.265, 456, 1 5 -3
34.7, 2.586, 451, 2 4 -3
30.8, 2.904, 350, 0 4 2
58.2, 1.585, 325, 7 1 0
34.5, 2.598, 310, 4 2 0

Starting from a DFT-relaxed cell (PBE, Alexandria), the PXRD pattern of BaIn2Se4 was calculated for Cu Ka.
Intensities are scaled so that the largest is 1000.

Cell and atoms:
```
data_BaIn2Se4
_cell_length_a 13.7923
_cell_length_b 22.9319
_cell_length_c 23.3170
_cell_angle_alpha 90.00
_cell_angle_beta 90.00
_cell_angle_gamma 90.00
_space_group_name_H-M_alt 'F d d d'
_space_group_IT_number 70
loop_
_space_group_symop_operation_xyz
'x,y,z'
'-x,-y,-z'
'-x+1/4,-y+1/4,z'
'x+1/4,y+1/4,-z'
'x,-y+1/4,-z+1/4'
'-x,y+1/4,z+1/4'
'-x+1/4,y,-z+1/4'
'x+1/4,-y,z+1/4'
'x,y+1/2,z+1/2'
'-x,-y+1/2,-z+1/2'
'-x+1/4,-y+3/4,z+1/2'
'x+1/4,y+3/4,-z+1/2'
'x,-y+3/4,-z+3/4'
'-x,y+3/4,z+3/4'
'-x+1/4,y+1/2,-z+3/4'
'x+1/4,-y+1/2,z+3/4'
'x+1/2,y,z+1/2'
'-x+1/2,-y,-z+1/2'
'-x+3/4,-y+1/4,z+1/2'
'x+3/4,y+1/4,-z+1/2'
'x+1/2,-y+1/4,-z+3/4'
'-x+1/2,y+1/4,z+3/4'
'-x+3/4,y,-z+3/4'
'x+3/4,-y,z+3/4'
'x+1/2,y+1/2,z'
'-x+1/2,-y+1/2,-z'
'-x+3/4,-y+3/4,z'
'x+3/4,y+3/4,-z'
'x+1/2,-y+3/4,-z+1/4'
'-x+1/2,y+3/4,z+1/4'
'-x+3/4,y+1/2,-z+1/4'
'x+3/4,-y+1/2,z+1/4'
loop_
_atom_site_label
_atom_site_fract_x
_atom_site_fract_y
_atom_site_fract_z
_atom_site_occupancy
Ba1 0.1250 0.1250 0.1250 1
Ba2 0.1250 0.1250 0.3729 1
Ba3 0.1250 0.1250 0.6250 1
In1 0.0871 0.3042 0.2498 1
In2 0.1255 0.2623 0.4995 1
Se1 0.0012 0.9997 0.5856 1
Se2 0.0011 0.0000 0.9141 1
Se3 0.0044 0.0937 0.2488 1
Se4 0.0182 0.0842 0.7512 1
```

Peak list (10 most intense, 5° ≤ 2θ ≤ 70°, by intensity)
Position (°2θ), d/Å, I/Imax, h k l
34.0, 2.635, 1000, 4 4 4
21.4, 4.150, 630, 2 2 4
27.8, 3.214, 398, 2 6 2
26.7, 3.343, 375, 2 6 0
30.7, 2.915, 360, 0 0 8
27.5, 3.246, 354, 2 2 6
15.2, 5.829, 280, 0 0 4
41.1, 2.197, 233, 2 6 8
46.8, 1.943, 230, 0 0 12
47.9, 1.899, 207, 2 10 6

Starting from a DFT-relaxed cell (PBE, Alexandria), the PXRD pattern of Cs2SiSb was calculated for Cu Ka.
Intensities are scaled so that the largest is 1000.

Cell and atoms:
```
data_Cs2SiSb
_cell_length_a 11.0369
_cell_length_b 9.8617
_cell_length_c 7.8697
_cell_angle_alpha 90.00
_cell_angle_beta 98.72
_cell_angle_gamma 90.00
_space_group_name_H-M_alt 'P 1 21/c 1'
_space_group_IT_number 14
loop_
_space_group_symop_operation_xyz
'x,y,z'
'-x,-y,-z'
'-x,y+1/2,-z+1/2'
'x,-y+1/2,z+1/2'
loop_
_atom_site_label
_atom_site_fract_x
_atom_site_fract_y
_atom_site_fract_z
_atom_site_occupancy
Cs1 0.2406 0.0954 0.2057 1
Cs2 0.2499 0.6211 0.1505 1
Si1 0.4565 0.6146 0.5259 1
Sb1 0.4748 0.1626 0.6343 1
```

Peak list (10 most intense, 5° ≤ 2θ ≤ 70°, by intensity)
Position (°2θ), d/Å, I/Imax, h k l
8.1, 10.909, 1000, 1 0 0
25.8, 3.448, 842, 2 2 -1
28.0, 3.188, 395, 2 2 1
23.5, 3.790, 298, 1 2 1
32.8, 2.727, 257, 4 0 0
21.3, 4.165, 213, 0 2 1
31.3, 2.856, 209, 3 2 -1
25.5, 3.500, 202, 1 0 2
23.1, 3.853, 181, 1 0 -2
39.0, 2.309, 179, 1 2 -3

Starting from a DFT-relaxed cell (PBE, Alexandria), the PXRD pattern of BaHgBiPd3 was calculated for Cu Ka.
Intensities are scaled so that the largest is 1000.

Cell and atoms:
```
data_BaHgBiPd3
_cell_length_a 6.8776
_cell_length_b 12.8695
_cell_length_c 6.9875
_cell_angle_alpha 90.00
_cell_angle_beta 90.00
_cell_angle_gamma 90.00
_space_group_name_H-M_alt 'C m c m'
_space_group_IT_number 63
_space_group_name_Hall '-C 2c 2'
loop_
_atom_site_label
_atom_site_fract_x
_atom_site_fract_y
_atom_site_fract_z
_atom_site_occupancy
Ba1 0.0000 0.1949 0.2500 1
Hg1 0.0000 0.4519 0.2500 1
Bi1 0.0000 0.1245 0.7500 1
Pd1 0.0000 0.3342 0.7500 1
Pd2 0.2106 0.0000 0.0000 1
```

Peak list (10 most intense, 5° ≤ 2θ ≤ 70°, by intensity)
Position (°2θ), d/Å, I/Imax, h k l
36.7, 2.451, 1000, 2 0 2
39.5, 2.279, 407, 1 5 1
13.8, 6.435, 395, 0 2 0
30.6, 2.922, 392, 0 4 1
40.5, 2.227, 367, 2 4 1
25.9, 3.439, 360, 2 0 0
25.5, 3.494, 332, 0 0 2
35.6, 2.521, 329, 1 3 2
53.2, 1.720, 252, 4 0 0
52.4, 1.747, 191, 0 0 4

Starting from a DFT-relaxed cell (PBE, Alexandria), the PXRD pattern of Li4PdO3 was calculated for Cu Ka.
Intensities are scaled so that the largest is 1000.

Cell and atoms:
```
data_Li4PdO3
_cell_length_a 11.3669
_cell_length_b 4.0227
_cell_length_c 7.1809
_cell_angle_alpha 90.00
_cell_angle_beta 97.13
_cell_angle_gamma 90.00
_space_group_name_H-M_alt 'C 1 c 1'
_space_group_IT_number 9
loop_
_space_group_symop_operation_xyz
'x,y,z'
'x,-y,z+1/2'
'x+1/2,y+1/2,z'
'x+1/2,-y+1/2,z+1/2'
loop_
_atom_site_label
_atom_site_fract_x
_atom_site_fract_y
_atom_site_fract_z
_atom_site_occupancy
Li1 0.0000 0.0876 0.0000 1
Li2 0.0786 0.3954 0.7051 1
Li3 0.1763 0.1778 0.4165 1
Li4 0.2705 0.3870 0.1037 1
Pd1 0.3587 0.0662 0.8183 1
O1 0.0334 0.4357 0.4386 1
O2 0.1859 0.0305 0.6774 1
O3 0.3358 0.4354 0.3727 1
```

Peak list (10 most intense, 5° ≤ 2θ ≤ 70°, by intensity)
Position (°2θ), d/Å, I/Imax, h k l
15.7, 5.640, 1000, 2 0 0
23.5, 3.789, 723, 1 1 0
27.9, 3.196, 557, 2 0 -2
25.0, 3.563, 460, 0 0 2
33.8, 2.651, 431, 1 1 -2
43.3, 2.087, 297, 4 0 2
31.7, 2.820, 216, 4 0 0
46.1, 1.968, 187, 5 1 0
31.3, 2.856, 174, 2 0 2
39.6, 2.277, 158, 3 1 -2

Starting from a DFT-relaxed cell (PBE, Alexandria), the PXRD pattern of Ge3Te2S2 was calculated for Cu Ka.
Intensities are scaled so that the largest is 1000.

Cell and atoms:
```
data_Ge3Te2S2
_cell_length_a 7.7144
_cell_length_b 8.7575
_cell_length_c 6.3305
_cell_angle_alpha 90.00
_cell_angle_beta 112.77
_cell_angle_gamma 90.00
_space_group_name_H-M_alt 'P 1 21/c 1'
_space_group_IT_number 14
loop_
_space_group_symop_operation_xyz
'x,y,z'
'-x,-y,-z'
'-x,y+1/2,-z+1/2'
'x,-y+1/2,z+1/2'
loop_
_atom_site_label
_atom_site_fract_x
_atom_site_fract_y
_atom_site_fract_z
_atom_site_occupancy
Ge1 0.0000 0.0000 0.0000 1
Ge2 0.2375 0.1315 0.6933 1
Te1 0.1379 0.7151 0.8879 1
S1 0.3359 0.1283 0.1050 1
```

Peak list (10 most intense, 5° ≤ 2θ ≤ 70°, by intensity)
Position (°2θ), d/Å, I/Imax, h k l
12.4, 7.113, 1000, 1 0 0
32.3, 2.768, 665, 0 1 2
27.1, 3.295, 519, 2 1 0
33.2, 2.701, 338, 1 3 0
30.0, 2.976, 322, 1 1 -2
37.5, 2.397, 284, 2 2 -2
36.4, 2.467, 240, 3 1 -1
25.4, 3.503, 240, 0 2 1
40.0, 2.256, 222, 3 1 -2
20.3, 4.379, 202, 0 2 0

Starting from a DFT-relaxed cell (PBE, Alexandria), the PXRD pattern of Ac3InI3 was calculated for Cu Ka.
Intensities are scaled so that the largest is 1000.

Cell and atoms:
```
data_Ac3InI3
_cell_length_a 13.5202
_cell_length_b 13.5202
_cell_length_c 13.5202
_cell_angle_alpha 90.00
_cell_angle_beta 90.00
_cell_angle_gamma 90.00
_space_group_name_H-M_alt 'I 41 3 2'
_space_group_IT_number 214
_space_group_name_Hall 'I 4bd 2c 3'
loop_
_atom_site_label
_atom_site_fract_x
_atom_site_fract_y
_atom_site_fract_z
_atom_site_occupancy
Ac1 0.1156 0.3656 0.1250 1
In1 0.1250 0.1250 0.1250 1
I1 0.1186 0.1314 0.6250 1
```

Peak list (10 most intense, 5° ≤ 2θ ≤ 70°, by intensity)
Position (°2θ), d/Å, I/Imax, h k l
26.4, 3.380, 1000, 4 0 0
37.6, 2.390, 768, 4 4 0
61.3, 1.512, 343, 8 4 0
46.5, 1.951, 274, 4 4 4
67.9, 1.380, 246, 8 4 4
9.3, 9.560, 229, 1 1 0
24.6, 3.613, 162, 3 2 1
54.3, 1.690, 127, 8 0 0
31.0, 2.883, 93, 3 3 2
49.5, 1.840, 80, 7 2 1

Starting from a DFT-relaxed cell (PBE, Alexandria), the PXRD pattern of Nd5Sm2DySc was calculated for Cu Ka.
Intensities are scaled so that the largest is 1000.

Cell and atoms:
```
data_Nd5Sm2DySc
_cell_length_a 5.4204
_cell_length_b 22.0712
_cell_length_c 10.2431
_cell_angle_alpha 90.00
_cell_angle_beta 90.00
_cell_angle_gamma 90.00
_space_group_name_H-M_alt 'C m c m'
_space_group_IT_number 63
_space_group_name_Hall '-C 2c 2'
loop_
_atom_site_label
_atom_site_fract_x
_atom_site_fract_y
_atom_site_fract_z
_atom_site_occupancy
Nd1 0.0000 0.0000 0.0000 1
Nd2 0.0000 0.1276 0.2500 1
Nd3 0.0000 0.2222 0.5623 1
Nd4 0.0000 0.5002 0.2500 1
Sm1 0.0000 0.3841 0.5006 1
Dy1 0.0000 0.1024 0.7500 1
Sc1 0.0000 0.2878 0.2500 1
```

Peak list (10 most intense, 5° ≤ 2θ ≤ 70°, by intensity)
Position (°2θ), d/Å, I/Imax, h k l
31.4, 2.846, 1000, 1 5 2
26.8, 3.322, 361, 1 3 2
33.1, 2.710, 327, 2 0 0
58.0, 1.590, 259, 3 5 2
59.9, 1.544, 218, 1 13 2
35.0, 2.561, 164, 0 0 4
32.5, 2.759, 147, 0 8 0
48.9, 1.861, 127, 2 0 4
47.0, 1.933, 105, 2 8 0
31.2, 2.865, 101, 1 1 3